Starting from a structure optimized by DFT (PBE+U), the powder XRD pattern of TlVRhO6 was computed for Cu Kα X-rays.

Most intense lines, 2θ = 15–90°, low angle first:
2θ/deg, I (rel.)
19.94, 16.9
27.24, 100.0
34.91, 30.8
44.84, 25.0
51.96, 32.4
58.05, 24.1
61.22, 9.9
62.60, 10.5

Structure:
Unit cell a=5.1404 b=5.1404 c=4.8299 alpha=90.00 beta=90.00 gamma=120.00
Space group P312 (No. 149)
Symmetry-distinct sites (fractional):
Tl 0.0000 0.0000 0.0000 x1
V 0.3333 0.6667 0.5000 x1
Rh 0.6667 0.3333 0.5000 x1
O 0.0136 0.3741 0.7209 x6